# 1
For Tm3Mg2, DFT lattice parameters and positions (PBE) gives the calculated X-ray diffraction stick pattern in this record (Cu Kα X-rays).

Structural model:
Unit cell a=6.475 b=6.475 c=6.475 alpha=90.63 beta=90.63 gamma=90.63
Fractional positions:
1 Tm 0.076 0.750 0.424
2 Tm 0.250 0.576 0.924
3 Tm 0.424 0.076 0.750
4 Tm 0.576 0.924 0.250
5 Tm 0.750 0.424 0.076
6 Tm 0.924 0.250 0.576
7 Mg 0.125 0.125 0.125
8 Mg 0.375 0.375 0.375
9 Mg 0.625 0.625 0.625
10 Mg 0.875 0.875 0.875

Peak list (10 most intense, 10° ≤ 2θ ≤ 80°, in order of rising 2θ)
d (Å), Position (°2θ), Rel. int.
4.603, 19.3, 33
2.882, 31.0, 100
2.658, 33.7, 65
1.954, 46.5, 33
1.715, 53.4, 7
1.574, 58.6, 32
1.534, 60.3, 12
1.518, 61.1, 20
1.329, 70.9, 7
1.207, 79.4, 13

=====

# 2
For Tm5Mg, DFT lattice parameters and positions (PBE) gives the calculated X-ray diffraction stick pattern in this record (Cu Kα X-rays).

Structural model:
Unit cell a=6.364 b=6.364 c=5.610 alpha=90.00 beta=90.00 gamma=120.00
Fractional positions:
1 Tm 0.000 0.500 0.000
2 Tm 0.333 0.667 0.500
3 Tm 0.500 0.000 0.000
4 Tm 0.500 0.500 0.000
5 Tm 0.667 0.333 0.500
6 Mg 0.000 0.000 0.500

Peak list (10 most intense, 10° ≤ 2θ ≤ 80°, in order of rising 2θ)
d (Å), Position (°2θ), Rel. int.
5.511, 16.1, 84
2.805, 31.9, 42
2.768, 32.3, 92
2.756, 32.5, 21
2.500, 35.9, 24
2.473, 36.3, 100
1.746, 52.4, 24
1.591, 58.0, 23
1.547, 59.8, 24
1.384, 67.7, 29

=====

# 3
For YTmMg6, DFT lattice parameters and positions (PBE) gives the calculated X-ray diffraction stick pattern in this record (Cu Kα X-rays).

Structural model:
Unit cell a=5.163 b=6.649 c=6.649 alpha=60.09 beta=90.00 gamma=90.00
Fractional positions:
1 Y 0.000 0.000 0.000
2 Tm 0.500 0.667 0.667
3 Mg 0.000 0.007 0.496
4 Mg 0.000 0.496 0.007
5 Mg 0.000 0.496 0.496
6 Mg 0.500 0.171 0.171
7 Mg 0.500 0.171 0.660
8 Mg 0.500 0.660 0.171

Peak list (10 most intense, 10° ≤ 2θ ≤ 80°, in order of rising 2θ)
d (Å), Position (°2θ), Rel. int.
5.761, 15.4, 42
3.845, 23.1, 81
3.326, 26.8, 35
2.880, 31.0, 27
2.582, 34.7, 24
2.516, 35.7, 100
2.006, 45.2, 26
1.922, 47.3, 21
1.477, 62.9, 19
1.398, 66.9, 20

=====

# 4
For YTmMg6, DFT lattice parameters and positions (PBE) gives the calculated X-ray diffraction stick pattern in this record (Cu Kα X-rays).

Structural model:
Unit cell a=5.152 b=5.152 c=7.310 alpha=90.00 beta=90.00 gamma=90.00
Fractional positions:
1 Y 0.000 0.000 0.000
2 Tm 0.500 0.500 0.500
3 Mg 0.000 0.000 0.500
4 Mg 0.000 0.500 0.253
5 Mg 0.000 0.500 0.747
6 Mg 0.500 0.000 0.253
7 Mg 0.500 0.000 0.747
8 Mg 0.500 0.500 0.000

Peak list (10 most intense, 10° ≤ 2θ ≤ 80°, in order of rising 2θ)
d (Å), Position (°2θ), Rel. int.
4.211, 21.1, 59
3.647, 24.4, 31
2.579, 34.8, 100
2.203, 41.0, 11
2.198, 41.1, 21
2.106, 43.0, 9
1.822, 50.1, 12
1.673, 54.9, 14
1.491, 62.3, 12
1.488, 62.4, 24

=====

# 5
For YTmMg6, DFT lattice parameters and positions (PBE) gives the calculated X-ray diffraction stick pattern in this record (Cu Kα X-rays).

Structural model:
Unit cell a=5.156 b=7.316 c=5.157 alpha=90.00 beta=90.00 gamma=90.00
Fractional positions:
1 Y 0.000 0.000 0.000
2 Tm 0.500 0.500 0.492
3 Mg 0.000 0.253 0.500
4 Mg 0.000 0.500 0.000
5 Mg 0.000 0.747 0.500
6 Mg 0.500 0.000 0.493
7 Mg 0.500 0.253 0.992
8 Mg 0.500 0.747 0.992

Peak list (10 most intense, 10° ≤ 2θ ≤ 80°, in order of rising 2θ)
d (Å), Position (°2θ), Rel. int.
4.215, 21.1, 59
3.650, 24.4, 31
2.581, 34.8, 100
2.202, 41.0, 21
2.199, 41.0, 11
2.107, 42.9, 9
1.823, 50.0, 12
1.675, 54.8, 14
1.492, 62.2, 12
1.489, 62.3, 24

=====

# 6
For TmMgZn4, DFT lattice parameters and positions (PBE) gives the calculated X-ray diffraction stick pattern in this record (Cu Kα X-rays).

Structural model:
Unit cell a=4.402 b=4.402 c=6.451 alpha=90.00 beta=90.00 gamma=120.00
Fractional positions:
1 Tm 0.000 0.000 0.000
2 Mg 0.000 0.000 0.500
3 Zn 0.333 0.667 0.257
4 Zn 0.333 0.667 0.743
5 Zn 0.667 0.333 0.257
6 Zn 0.667 0.333 0.743

Peak list (10 most intense, 10° ≤ 2θ ≤ 80°, in order of rising 2θ)
d (Å), Position (°2θ), Rel. int.
6.451, 13.7, 25
3.282, 27.2, 42
2.463, 36.5, 100
2.201, 41.0, 73
2.083, 43.4, 9
1.641, 56.0, 28
1.613, 57.1, 9
1.316, 71.7, 26
1.301, 72.7, 25
1.271, 74.7, 12

=====

# 7
For MgU, DFT lattice parameters and positions (PBE) gives the calculated X-ray diffraction stick pattern in this record (Cu Kα X-rays).

Structural model:
Unit cell a=6.379 b=4.764 c=8.934 alpha=90.00 beta=90.75 gamma=90.00
Fractional positions:
1 Mg 0.106 0.250 0.400
2 Mg 0.197 0.250 0.739
3 Mg 0.393 0.750 0.576
4 Mg 0.607 0.250 0.424
5 Mg 0.803 0.750 0.261
6 Mg 0.894 0.750 0.600
7 U 0.076 0.750 0.963
8 U 0.314 0.750 0.187
9 U 0.423 0.250 0.082
10 U 0.577 0.750 0.918
11 U 0.686 0.250 0.813
12 U 0.924 0.250 0.037

Peak list (10 most intense, 10° ≤ 2θ ≤ 80°, in order of rising 2θ)
d (Å), Position (°2θ), Rel. int.
3.681, 24.2, 38
2.991, 29.9, 44
2.580, 34.8, 77
2.548, 35.2, 100
2.525, 35.6, 80
2.382, 37.8, 69
2.302, 39.1, 46
2.290, 39.3, 87
2.022, 44.8, 47
1.750, 52.3, 50

=====

# 8
For Mg12W, DFT lattice parameters and positions (PBE) gives the calculated X-ray diffraction stick pattern in this record (Cu Kα X-rays).

Structural model:
Unit cell a=7.623 b=7.623 c=7.623 alpha=97.99 beta=97.99 gamma=136.21
Fractional positions:
1 Mg 0.000 0.000 0.500
2 Mg 0.000 0.202 0.202
3 Mg 0.000 0.500 0.000
4 Mg 0.000 0.798 0.798
5 Mg 0.157 0.500 0.657
6 Mg 0.202 0.000 0.202
7 Mg 0.500 0.000 0.000
8 Mg 0.500 0.157 0.657
9 Mg 0.500 0.500 0.500
10 Mg 0.500 0.843 0.343
11 Mg 0.798 0.000 0.798
12 Mg 0.843 0.500 0.343
13 W 0.500 0.500 0.000

Peak list (10 most intense, 10° ≤ 2θ ≤ 80°, in order of rising 2θ)
d (Å), Position (°2θ), Rel. int.
7.073, 12.5, 84
4.943, 17.9, 58
3.516, 25.3, 72
3.163, 28.2, 35
2.876, 31.1, 64
2.501, 35.9, 40
2.493, 36.0, 100
2.472, 36.3, 59
1.887, 48.2, 28
1.565, 59.0, 24

=====

# 9
For YMgZn, DFT lattice parameters and positions (PBE) gives the calculated X-ray diffraction stick pattern in this record (Cu Kα X-rays).

Structural model:
Unit cell a=4.756 b=4.756 c=10.510 alpha=90.00 beta=90.00 gamma=120.00
Fractional positions:
1 Y 0.000 0.000 0.000
2 Y 0.000 0.000 0.308
3 Y 0.000 0.000 0.637
4 Mg 0.333 0.667 0.477
5 Mg 0.333 0.667 0.830
6 Mg 0.667 0.333 0.801
7 Zn 0.333 0.667 0.144
8 Zn 0.667 0.333 0.152
9 Zn 0.667 0.333 0.486

Peak list (10 most intense, 10° ≤ 2θ ≤ 80°, in order of rising 2θ)
d (Å), Position (°2θ), Rel. int.
5.255, 16.9, 7
4.119, 21.6, 17
2.668, 33.6, 100
2.378, 37.8, 68
2.215, 40.7, 5
1.775, 51.5, 29
1.752, 52.2, 7
1.423, 65.6, 27
1.410, 66.3, 22
1.373, 68.3, 11

=====

# 10
For YMgZn, DFT lattice parameters and positions (PBE) gives the calculated X-ray diffraction stick pattern in this record (Cu Kα X-rays).

Structural model:
Unit cell a=4.692 b=4.692 c=7.135 alpha=90.00 beta=90.00 gamma=120.00
Fractional positions:
1 Y 0.000 0.000 0.000
2 Y 0.000 0.000 0.500
3 Mg 0.333 0.667 0.249
4 Mg 0.333 0.667 0.751
5 Zn 0.667 0.333 0.236
6 Zn 0.667 0.333 0.764

Peak list (10 most intense, 10° ≤ 2θ ≤ 80°, in order of rising 2θ)
d (Å), Position (°2θ), Rel. int.
4.063, 21.9, 24
2.681, 33.4, 100
2.346, 38.4, 58
2.032, 44.6, 4
1.784, 51.2, 8
1.765, 51.8, 28
1.633, 56.3, 3
1.420, 65.8, 21
1.411, 66.3, 26
1.354, 69.4, 9

=====

# 11
For YMgZn, DFT lattice parameters and positions (PBE) gives the calculated X-ray diffraction stick pattern in this record (Cu Kα X-rays).

Structural model:
Unit cell a=4.967 b=4.967 c=9.304 alpha=90.00 beta=90.00 gamma=120.00
Fractional positions:
1 Y 0.000 0.000 0.000
2 Y 0.333 0.667 0.545
3 Y 0.667 0.333 0.192
4 Mg 0.000 0.000 0.352
5 Mg 0.000 0.000 0.672
6 Mg 0.667 0.333 0.808
7 Zn 0.333 0.667 0.204
8 Zn 0.333 0.667 0.889
9 Zn 0.667 0.333 0.505

Peak list (10 most intense, 10° ≤ 2θ ≤ 80°, in order of rising 2θ)
d (Å), Position (°2θ), Rel. int.
3.904, 22.8, 23
3.101, 28.8, 14
2.516, 35.7, 79
2.483, 36.2, 100
1.939, 46.9, 22
1.767, 51.7, 26
1.440, 64.7, 26
1.434, 65.1, 17
1.315, 71.8, 12
1.242, 76.8, 10

=====

# 12
For YMg2Zn, DFT lattice parameters and positions (PBE) gives the calculated X-ray diffraction stick pattern in this record (Cu Kα X-rays).

Structural model:
Unit cell a=4.976 b=4.976 c=4.976 alpha=60.00 beta=60.00 gamma=60.00
Fractional positions:
1 Y 0.000 0.000 0.000
2 Mg 0.500 0.500 0.500
3 Mg 0.750 0.750 0.750
4 Zn 0.250 0.250 0.250

Peak list (9 most intense, 10° ≤ 2θ ≤ 80°, in order of rising 2θ)
d (Å), Position (°2θ), Rel. int.
4.063, 21.9, 34
3.519, 25.3, 1
2.488, 36.1, 100
2.122, 42.6, 17
1.759, 52.0, 17
1.614, 57.0, 7
1.436, 64.9, 34
1.354, 69.4, 5
1.244, 76.6, 10

=====

# 13
For Mg2Zn, DFT lattice parameters and positions (PBE) gives the calculated X-ray diffraction stick pattern in this record (Cu Kα X-rays).

Structural model:
Unit cell a=5.408 b=5.408 c=14.007 alpha=90.00 beta=90.00 gamma=120.00
Fractional positions:
1 Mg 0.000 0.500 0.058
2 Mg 0.000 0.500 0.276
3 Mg 0.168 0.336 0.500
4 Mg 0.168 0.832 0.833
5 Mg 0.336 0.168 0.167
6 Mg 0.500 0.000 0.391
7 Mg 0.500 0.000 0.609
8 Mg 0.500 0.500 0.724
9 Mg 0.500 0.500 0.942
10 Mg 0.664 0.832 0.167
11 Mg 0.832 0.168 0.833
12 Mg 0.832 0.664 0.500
13 Zn 0.000 0.000 0.000
14 Zn 0.000 0.000 0.333
15 Zn 0.000 0.000 0.667
16 Zn 0.000 0.500 0.667
17 Zn 0.500 0.000 0.000
18 Zn 0.500 0.500 0.333

Peak list (10 most intense, 10° ≤ 2θ ≤ 80°, in order of rising 2θ)
d (Å), Position (°2θ), Rel. int.
4.673, 19.0, 60
4.442, 20.0, 26
3.893, 22.8, 18
2.522, 35.6, 33
2.404, 37.4, 35
2.341, 38.4, 59
2.334, 38.6, 15
2.093, 43.2, 100
1.496, 62.0, 15
1.352, 69.5, 16

=====

# 14
For Mg4Zn3, DFT lattice parameters and positions (PBE) gives the calculated X-ray diffraction stick pattern in this record (Cu Kα X-rays).

Structural model:
Unit cell a=7.945 b=7.945 c=4.664 alpha=90.00 beta=90.00 gamma=120.00
Fractional positions:
1 Mg 0.022 0.242 0.250
2 Mg 0.219 0.978 0.250
3 Mg 0.242 0.219 0.750
4 Mg 0.333 0.667 0.250
5 Mg 0.667 0.333 0.750
6 Mg 0.758 0.781 0.250
7 Mg 0.781 0.022 0.750
8 Mg 0.978 0.758 0.750
9 Zn 0.089 0.476 0.750
10 Zn 0.387 0.911 0.750
11 Zn 0.476 0.387 0.250
12 Zn 0.524 0.613 0.750
13 Zn 0.613 0.089 0.250
14 Zn 0.911 0.524 0.250

Peak list (10 most intense, 10° ≤ 2θ ≤ 80°, in order of rising 2θ)
d (Å), Position (°2θ), Rel. int.
6.881, 12.9, 21
3.861, 23.0, 13
2.601, 34.5, 27
2.332, 38.6, 25
2.271, 39.7, 100
1.736, 52.7, 15
1.501, 61.8, 16
1.334, 70.6, 17
1.262, 75.3, 17
1.253, 76.0, 12